Starting from a DFT-relaxed cell (GGA-PBE, Alexandria), the PXRD pattern of Zn7GePd4 was calculated for copper Kα.
Peak positions follow from Bragg's law for the DFT cell and can differ from measured ones.

Most intense lines, 10 to 90 degrees two-theta, sorted by position:
2θ = 21.97°, d = 4.046 Å, I = 14
2θ = 29.74°, d = 3.004 Å, I = 15
2θ = 35.84°, d = 2.505 Å, I = 36
2θ = 37.65°, d = 2.389 Å, I = 15
2θ = 39.86°, d = 2.261 Å, I = 100
2θ = 41.58°, d = 2.172 Å, I = 14
2θ = 42.15°, d = 2.144 Å, I = 35
2θ = 42.61°, d = 2.122 Å, I = 27
2θ = 42.82°, d = 2.112 Å, I = 12
2θ = 44.58°, d = 2.033 Å, I = 41
2θ = 45.38°, d = 1.999 Å, I = 29
2θ = 57.66°, d = 1.599 Å, I = 24

Structure:
```
12
Lattice="6.1246 -2.2629 0.0000 6.1246 2.2629 0.0000 -5.7108 0.0000 7.1259" Properties=species:S:1:pos:R:3 pbc="T T T"
Zn 0.0000 0.0000 0.0000
Zn -3.4624 0.0000 5.7032
Zn -1.0721 0.0000 4.8456
Zn 2.0496 0.0000 4.1561
Zn 4.4888 0.0000 2.9698
Zn 7.6104 0.0000 2.2803
Zn 10.0008 0.0000 1.4227
Ge 6.1246 0.0000 0.0000
Pd 0.0410 0.0000 2.5655
Pd 2.5667 0.0000 1.1892
Pd 3.9716 0.0000 5.9368
Pd 6.4974 0.0000 4.5604
```